For Nd3Mg2Hg, a DFT-relaxed cell (GGA-PBE, Alexandria) gives the simulated X-ray powder pattern in this record (Cu Ka).
Neutral-atom scattering factors, no anomalous dispersion.

Structure:
```
data_Nd3Mg2Hg
_chemical_formula_sum 'Nd3 Mg2 Hg1'
_cell_length_a 3.8840
_cell_length_b 3.8840
_cell_length_c 11.5204
_cell_angle_alpha 90.00
_cell_angle_beta 90.00
_cell_angle_gamma 90.00
_symmetry_space_group_name_H-M 'P 1'
_symmetry_Int_Tables_number 1
loop_
_symmetry_equiv_pos_as_xyz
'x,y,z'
loop_
_atom_site_label
_atom_site_type_symbol
_atom_site_fract_x
_atom_site_fract_y
_atom_site_fract_z
Nd1 Nd 0.0000 0.0000 0.0000
Nd2 Nd 0.0000 0.0000 0.3361
Nd3 Nd 0.0000 0.0000 0.6639
Mg1 Mg 0.5000 0.5000 0.1645
Mg2 Mg 0.5000 0.5000 0.8355
Hg1 Hg 0.5000 0.5000 0.5000
```

Principal peaks in the range 10° ≤ 2θ ≤ 90°, low angle first:
two_theta	d/Å	I (rel.)	h k l
15.38	5.760	11	0 0 2
24.18	3.680	13	1 0 1
27.70	3.220	9	1 0 2
32.60	2.746	51	1 1 0
32.80	2.731	100	1 0 3
46.78	1.942	19	2 0 0
47.35	1.920	9	0 0 6
58.30	1.583	39	2 1 3
58.67	1.574	19	1 1 6
68.75	1.365	12	2 0 6